Diffraction record for Ca5V2N6. The XRD peak list is computed, not measured: it uses a DFT-relaxed cell (PBE, Alexandria) and a wavelength of 1.5418 Å.
Peak positions follow from Bragg's law for the DFT cell and can differ from measured ones.

Crystal structure
a b c (Å): 6.572 4.804 7.360
angles (deg): 90.00 104.27 90.00
Fractional coordinates of all 13 atoms:
Ca 0.000 0.000 0.000
Ca 0.141 0.000 0.474
Ca 0.322 0.500 0.264
Ca 0.492 0.500 0.804
Ca 0.660 0.000 0.538
V 0.572 0.000 0.112
V 0.998 0.500 0.694
N 0.109 0.500 0.940
N 0.182 0.500 0.546
N 0.366 0.000 0.250
N 0.568 0.000 0.867
N 0.722 0.500 0.598
N 0.824 0.000 0.253

The 6 most intense peaks (10° ≤ 2θ ≤ 90°), in order of rising 2θ:
- 22.3°, d = 3.985 Å, I = 68.0
- 28.0°, d = 3.185 Å, I = 33.5
- 31.2°, d = 2.864 Å, I = 74.8
- 31.6°, d = 2.829 Å, I = 53.6
- 33.5°, d = 2.673 Å, I = 100.0
- 37.4°, d = 2.402 Å, I = 96.3

=====

Diffraction record for CsTiTc2O8. The XRD peak list is computed, not measured: it uses a DFT-relaxed cell (PBE, Alexandria) and a wavelength of 1.5418 Å.
Peak positions follow from Bragg's law for the DFT cell and can differ from measured ones.

Crystal structure
a b c (Å): 9.527 9.527 9.527
angles (deg): 34.88 34.88 34.88
Fractional coordinates of all 12 atoms:
Cs 0.000 0.000 0.000
Ti 0.500 0.500 0.500
Tc 0.233 0.233 0.233
Tc 0.767 0.767 0.767
O 0.130 0.622 0.622
O 0.298 0.298 0.298
O 0.378 0.378 0.870
O 0.378 0.870 0.378
O 0.622 0.130 0.622
O 0.622 0.622 0.130
O 0.702 0.702 0.702
O 0.870 0.378 0.378

The 6 most intense peaks (10° ≤ 2θ ≤ 90°), in order of rising 2θ:
- 22.3°, d = 3.979 Å, I = 100.0
- 24.5°, d = 3.635 Å, I = 14.2
- 31.3°, d = 2.855 Å, I = 35.9
- 32.3°, d = 2.774 Å, I = 14.2
- 45.6°, d = 1.990 Å, I = 12.2
- 50.7°, d = 1.800 Å, I = 19.9